Record 1
This entry pairs a crystal structure of Ac2NpTe5 with its calculated powder XRD pattern. Radiation: Cu Kα (λ = 1.5418 Å). Structure: a structure optimized by DFT (PBE).
Intensities are scaled so that the largest is 100.

Main lines, by angle (2θ from 10° to 90°):
2theta  Rel. int.
28.0  39
28.5  60
30.7  100
32.5  40
38.5  53
39.6  45

Cell and atoms:
```
Ac2NpTe5
1.0
8.880 0.000 0.000
0.000 13.649 0.000
0.000 0.000 4.674
Ac Np Te
4 2 10
direct
0.046 0.175 0.000
0.454 0.675 0.000
0.546 0.325 0.000
0.954 0.825 0.000
0.000 0.500 0.500
0.500 0.000 0.500
0.000 0.000 0.500
0.166 0.701 0.500
0.178 0.413 0.000
0.322 0.913 0.000
0.334 0.201 0.500
0.500 0.500 0.500
0.666 0.799 0.500
0.678 0.087 0.000
0.822 0.587 0.000
0.834 0.299 0.500
```


Record 2
This entry pairs a crystal structure of Ti3Bi4 with its calculated powder XRD pattern. Radiation: Cu Kα (λ = 1.5418 Å). Structure: a structure optimized by DFT (PBE).
Intensities are scaled so that the largest is 100.

Main lines, by angle (2θ from 10° to 90°):
2theta  Rel. int.
27.2  42
27.3  100
28.2  60
38.4  55
39.5  45
39.8  38

Cell and atoms:
```
Ti3Bi4
1.0
6.885 -2.267 0.000
6.885 2.267 0.000
-1.646 0.000 5.611
Ti Bi
3 4
direct
0.000 0.000 0.000
0.208 0.208 0.359
0.792 0.792 0.641
0.172 0.172 0.823
0.433 0.433 0.682
0.567 0.567 0.318
0.828 0.828 0.177
```